Starting from a structure optimized by DFT (GGA-PBE), the powder X-ray diffraction pattern of La2TiIr was calculated for CuKα.

Top 8 peaks for 10° ≤ 2θ ≤ 90°, low angle first:
| 2θ (°) | d/Å | Rel. int. |
| --- | --- | --- |
| 21.0 | 4.228 | 17 |
| 34.6 | 2.589 | 100 |
| 40.9 | 2.208 | 10 |
| 49.8 | 1.831 | 18 |
| 54.6 | 1.680 | 4 |
| 62.1 | 1.495 | 37 |
| 73.1 | 1.295 | 11 |
| 83.5 | 1.158 | 16 |

Structure:
a = 5.1780 Å, b = 5.1780 Å, c = 5.1780 Å
α = 60.00°, β = 60.00°, γ = 60.00°
Fractional coordinates of all 4 atoms:
La 0.2500 0.2500 0.2500
La 0.7500 0.7500 0.7500
Ti 0.0000 0.0000 0.0000
Ir 0.5000 0.5000 0.5000

Starting from a structure optimized by DFT (GGA-PBE), the powder X-ray diffraction pattern of PaTi2Co9 was calculated for CuKα.

Top 8 peaks for 10° ≤ 2θ ≤ 90°, low angle first:
| 2θ (°) | d/Å | Rel. int. |
| --- | --- | --- |
| 11.3 | 7.857 | 39 |
| 26.4 | 3.377 | 26 |
| 34.4 | 2.607 | 23 |
| 37.5 | 2.397 | 29 |
| 37.8 | 2.379 | 34 |
| 44.1 | 2.052 | 34 |
| 44.5 | 2.035 | 100 |
| 46.2 | 1.964 | 23 |

Structure:
a = 8.3235 Å, b = 8.3235 Å, c = 8.3235 Å
α = 33.21°, β = 33.21°, γ = 33.21°
Fractional coordinates of all 12 atoms:
Pa 0.0000 0.0000 0.0000
Ti 0.1419 0.1419 0.1419
Ti 0.8581 0.8581 0.8581
Co 0.0804 0.5902 0.5902
Co 0.3354 0.3354 0.3354
Co 0.4098 0.4098 0.9196
Co 0.4098 0.9196 0.4098
Co 0.5000 0.5000 0.5000
Co 0.5902 0.0804 0.5902
Co 0.5902 0.5902 0.0804
Co 0.6646 0.6646 0.6646
Co 0.9196 0.4098 0.4098

Starting from a structure optimized by DFT (GGA-PBE), the powder X-ray diffraction pattern of BaSm6S8 was calculated for CuKα.

Top 8 peaks for 10° ≤ 2θ ≤ 90°, low angle first:
| 2θ (°) | d/Å | Rel. int. |
| --- | --- | --- |
| 11.3 | 7.844 | 83 |
| 21.1 | 4.202 | 42 |
| 24.5 | 3.627 | 100 |
| 27.5 | 3.246 | 66 |
| 33.0 | 2.714 | 31 |
| 35.3 | 2.543 | 31 |
| 37.1 | 2.423 | 39 |
| 37.8 | 2.383 | 45 |

Structure:
a = 7.8921 Å, b = 7.8921 Å, c = 7.8921 Å
α = 94.28°, β = 94.28°, γ = 94.28°
Fractional coordinates of all 15 atoms:
Ba 0.0000 0.0000 0.0000
Sm 0.1895 0.3842 0.5648
Sm 0.3842 0.5648 0.1895
Sm 0.4352 0.8105 0.6158
Sm 0.5648 0.1895 0.3842
Sm 0.6158 0.4352 0.8105
Sm 0.8105 0.6158 0.4352
S 0.1466 0.6934 0.3941
S 0.2428 0.2428 0.2428
S 0.3066 0.6059 0.8534
S 0.3941 0.1466 0.6934
S 0.6059 0.8534 0.3066
S 0.6934 0.3941 0.1466
S 0.7572 0.7572 0.7572
S 0.8534 0.3066 0.6059

Starting from a structure optimized by DFT (GGA-PBE), the powder X-ray diffraction pattern of Nd5ErTm2 was calculated for CuKα.

Top 8 peaks for 10° ≤ 2θ ≤ 90°, low angle first:
| 2θ (°) | d/Å | Rel. int. |
| --- | --- | --- |
| 27.4 | 3.259 | 10 |
| 30.3 | 2.950 | 100 |
| 30.7 | 2.915 | 66 |
| 43.9 | 2.061 | 10 |
| 45.9 | 1.976 | 11 |
| 53.6 | 1.710 | 10 |
| 58.2 | 1.586 | 24 |
| 61.2 | 1.514 | 9 |

Structure:
a = 9.0898 Å, b = 9.0898 Å, c = 9.0898 Å
α = 119.07°, β = 119.07°, γ = 91.63°
Fractional coordinates of all 16 atoms:
Nd 0.0000 0.0000 0.0000
Nd 0.0135 0.5135 0.1994
Nd 0.1859 0.9865 0.5000
Nd 0.3141 0.8141 0.8006
Nd 0.4865 0.6859 0.5000
Nd 0.5000 0.5000 0.0000
Nd 0.5135 0.3141 0.5000
Nd 0.6859 0.1859 0.1994
Nd 0.8141 0.0135 0.5000
Nd 0.9865 0.4865 0.8006
Er 0.2500 0.2500 0.0000
Er 0.7500 0.7500 0.0000
Tm 0.1453 0.3547 0.5000
Tm 0.3547 0.8547 0.2094
Tm 0.6453 0.1453 0.7906
Tm 0.8547 0.6453 0.5000

Starting from a structure optimized by DFT (GGA-PBE), the powder X-ray diffraction pattern of K5Na3Ta3Nb5O24 was calculated for CuKα.

Top 8 peaks for 10° ≤ 2θ ≤ 90°, low angle first:
| 2θ (°) | d/Å | Rel. int. |
| --- | --- | --- |
| 21.8 | 4.072 | 47 |
| 22.0 | 4.032 | 92 |
| 31.2 | 2.870 | 68 |
| 31.3 | 2.858 | 100 |
| 31.4 | 2.849 | 33 |
| 44.5 | 2.036 | 25 |
| 44.9 | 2.020 | 24 |
| 55.8 | 1.647 | 26 |

Structure:
a = 8.0476 Å, b = 8.0818 Å, c = 8.1439 Å
α = 89.77°, β = 89.86°, γ = 89.90°
Fractional coordinates of all 40 atoms:
K 0.0000 0.0000 0.0000
K 0.9995 0.4989 0.9992
K 0.4985 0.9989 0.4998
K 0.9987 0.4992 0.5004
K 0.9986 0.9990 0.4997
Na 0.5037 0.0118 0.0212
Na 0.5051 0.5115 0.0198
Na 0.5084 0.5112 0.5192
Ta 0.2506 0.7524 0.2543
Ta 0.7475 0.7503 0.2546
Ta 0.7496 0.2521 0.2546
Nb 0.2534 0.2549 0.2563
Nb 0.2568 0.2558 0.7577
Nb 0.2568 0.7543 0.7567
Nb 0.7518 0.2562 0.7567
Nb 0.7522 0.7556 0.7575
O 0.2446 0.4918 0.7402
O 0.2457 0.2448 0.4885
O 0.2461 0.9908 0.7412
O 0.2479 0.7407 0.4882
O 0.2485 0.9914 0.2388
O 0.2496 0.2418 0.9899
O 0.2496 0.4942 0.2373
O 0.2504 0.7415 0.9916
O 0.4940 0.2430 0.7371
O 0.4942 0.7346 0.7373
O 0.4954 0.7417 0.2377
O 0.4958 0.2415 0.2360
O 0.7379 0.2433 0.9918
O 0.7391 0.4923 0.7413
O 0.7394 0.4938 0.2383
O 0.7386 0.7420 0.9925
O 0.7392 0.9917 0.7434
O 0.7413 0.7406 0.4887
O 0.7414 0.9931 0.2394
O 0.7421 0.2465 0.4884
O 0.9921 0.2416 0.7427
O 0.9927 0.2448 0.2391
O 0.9925 0.7418 0.7432
O 0.9946 0.7427 0.2403

Starting from a structure optimized by DFT (GGA-PBE), the powder X-ray diffraction pattern of RbCrCuGe2 was calculated for CuKα.

Top 8 peaks for 10° ≤ 2θ ≤ 90°, low angle first:
| 2θ (°) | d/Å | Rel. int. |
| --- | --- | --- |
| 28.8 | 3.097 | 58 |
| 30.3 | 2.953 | 100 |
| 37.9 | 2.376 | 55 |
| 48.3 | 1.885 | 54 |
| 52.0 | 1.759 | 22 |
| 54.6 | 1.680 | 18 |
| 62.9 | 1.477 | 23 |
| 63.7 | 1.460 | 23 |

Structure:
a = 4.7514 Å, b = 4.7514 Å, c = 6.1947 Å
α = 90.00°, β = 90.00°, γ = 90.00°
Fractional coordinates of all 5 atoms:
Rb 0.0000 0.0000 0.0000
Cr 0.0000 0.0000 0.5000
Cu 0.5000 0.5000 0.0000
Ge 0.0000 0.5000 0.5000
Ge 0.5000 0.0000 0.5000

Starting from a structure optimized by DFT (GGA-PBE), the powder X-ray diffraction pattern of Na2AcSiS4 was calculated for CuKα.

Top 8 peaks for 10° ≤ 2θ ≤ 90°, low angle first:
| 2θ (°) | d/Å | Rel. int. |
| --- | --- | --- |
| 13.9 | 6.361 | 100 |
| 15.5 | 5.716 | 38 |
| 25.2 | 3.540 | 56 |
| 26.1 | 3.414 | 47 |
| 31.3 | 2.858 | 37 |
| 31.4 | 2.847 | 74 |
| 33.7 | 2.663 | 29 |
| 44.9 | 2.018 | 62 |

Structure:
a = 8.0920 Å, b = 8.0920 Å, c = 8.0920 Å
α = 123.53°, β = 116.46°, γ = 90.11°
Fractional coordinates of all 16 atoms:
Na 0.0000 0.0000 0.0000
Na 0.5000 0.0000 0.0000
Na 0.5000 0.0000 0.5000
Na 0.5000 0.5000 0.5000
Ac 0.0000 0.5000 0.5000
Ac 0.5000 0.5000 0.0000
Si 0.0000 0.0000 0.5000
Si 0.0000 0.5000 0.0000
S 0.1961 0.2453 0.9508
S 0.2054 0.7547 0.4508
S 0.2236 0.2161 0.4925
S 0.2236 0.7311 0.0075
S 0.7764 0.2689 0.9925
S 0.7764 0.7839 0.5075
S 0.7946 0.2453 0.5492
S 0.8039 0.7547 0.0492

Starting from a structure optimized by DFT (GGA-PBE), the powder X-ray diffraction pattern of Li2PuIn2Bi2 was calculated for CuKα.

Top 8 peaks for 10° ≤ 2θ ≤ 90°, low angle first:
| 2θ (°) | d/Å | Rel. int. |
| --- | --- | --- |
| 21.6 | 4.113 | 32 |
| 24.9 | 3.571 | 27 |
| 31.1 | 2.877 | 100 |
| 33.5 | 2.671 | 28 |
| 37.5 | 2.401 | 67 |
| 49.4 | 1.843 | 28 |
| 50.8 | 1.796 | 20 |
| 63.6 | 1.462 | 26 |

Structure:
a = 9.6995 Å, b = 9.6995 Å, c = 9.6995 Å
α = 28.66°, β = 28.66°, γ = 28.66°
Fractional coordinates of all 7 atoms:
Li 0.0768 0.0768 0.0768
Li 0.9232 0.9232 0.9232
Pu 0.5000 0.5000 0.5000
In 0.3592 0.3592 0.3592
In 0.6408 0.6408 0.6408
Bi 0.2240 0.2240 0.2240
Bi 0.7760 0.7760 0.7760